Diffraction record for LaBiS2O. The powder X-ray diffraction pattern is calculated, not measured: it uses a DFT-relaxed cell (PBE, the Materials Project) and Cu Kα.
Intensities are scaled so that the largest is 100.

Structural model:
abc: 4.0555 4.0555 14.1733
angles: 90.00 90.00 90.00
Space group P4/nmm (No. 129, origin choice 2)
Asymmetric unit:
1 La 0.2500 0.2500 0.0877 x2
2 Bi 0.2500 0.2500 0.6322 x2
3 S 0.2500 0.2500 0.3900 x2
4 S 0.2500 0.2500 0.8098 x2
5 O 0.2500 0.7500 0.0000 x2

Largest 6 diffraction maxima, low angle first, 5 to 70 degrees two-theta:
two_theta	d (Å)	I_rel
25.13	3.543	31
25.30	3.520	100
31.19	2.868	63
40.47	2.229	44
44.70	2.027	34
52.02	1.758	48



Diffraction record for Ce2Ti2O7. The powder X-ray diffraction pattern is calculated, not measured: it uses a DFT-relaxed cell (PBE, the Materials Project) and Cu Kα.
Intensities are scaled so that the largest is 100.

Structural model:
abc: 10.3638 10.3638 10.3638
angles: 90.00 90.00 90.00
Space group Fd-3m (No. 227, origin choice 2)
Asymmetric unit:
1 Ce 0.0000 0.0000 0.0000 x16
2 Ti 0.0000 0.0000 0.5000 x16
3 O 0.0780 0.3750 0.8750 x48
4 O 0.1250 0.1250 0.1250 x8

Largest 6 diffraction maxima, low angle first, 5 to 70 degrees two-theta:
two_theta	d (Å)	I_rel
14.81	5.984	24
29.86	2.992	100
34.62	2.591	28
37.84	2.378	20
49.77	1.832	49
59.13	1.562	41